Entry 1:
Structure and calculated powder diffractogram of HoCu2 (a structure optimized by DFT (PBE); CuKα).
Peak positions follow from Bragg's law for the DFT cell and can differ from measured ones.

Crystal structure
Lattice parameters (Å, degrees): 4.305 6.820 7.295 90.00 90.00 90.00
Space group Imma (No. 74)
Inequivalent atoms, fractional coordinates:
Ho1 0.000 0.250 0.044
Cu1 0.000 0.054 0.664

Most intense lines, 10° ≤ 2θ ≤ 90°, in order of rising 2θ:
- 24.0 deg, I = 22
- 34.8 deg, I = 39
- 35.8 deg, I = 100
- 36.1 deg, I = 39
- 41.6 deg, I = 16
- 42.0 deg, I = 32
- 42.7 deg, I = 41
- 56.5 deg, I = 28
- 69.6 deg, I = 18
- 72.7 deg, I = 12



Entry 2:
Structure and calculated powder diffractogram of HoCu5 (a structure optimized by DFT (PBE); CuKα).
Peak positions follow from Bragg's law for the DFT cell and can differ from measured ones.

Crystal structure
Lattice parameters (Å, degrees): 5.0137 5.0137 4.0730 90.00 90.00 120.00
Space group P6/mmm (No. 191)
Inequivalent atoms, fractional coordinates:
Ho1 0.0000 0.0000 0.0000
Cu1 0.0000 0.5000 0.5000
Cu2 0.3333 0.6667 0.0000

Most intense lines, 10° ≤ 2θ ≤ 90°, in order of rising 2θ:
- 30.1 deg, I = 49
- 35.8 deg, I = 31
- 41.6 deg, I = 35
- 42.3 deg, I = 100
- 44.5 deg, I = 27
- 58.4 deg, I = 15
- 62.5 deg, I = 20
- 68.8 deg, I = 22
- 75.9 deg, I = 15
- 80.4 deg, I = 14



Entry 3:
Structure and calculated powder diffractogram of HoCu5 (a structure optimized by DFT (PBE); CuKα).
Peak positions follow from Bragg's law for the DFT cell and can differ from measured ones.

Crystal structure
Lattice parameters (Å, degrees): 7.013 7.013 7.013 90.00 90.00 90.00
Space group F-43m (No. 216)
Inequivalent atoms, fractional coordinates:
Ho1 0.000 0.000 0.000
Cu1 0.124 0.124 0.376
Cu2 0.250 0.250 0.750

Most intense lines, 10° ≤ 2θ ≤ 90°, in order of rising 2θ:
- 22.0 deg, I = 9
- 25.4 deg, I = 10
- 36.2 deg, I = 45
- 42.8 deg, I = 100
- 44.8 deg, I = 26
- 58.9 deg, I = 4
- 65.2 deg, I = 16
- 69.7 deg, I = 30
- 76.9 deg, I = 22
- 88.1 deg, I = 7